(1)
The following is a calculated powder diffraction line list of MgV2O4. It was derived from a DFT-relaxed cell (PBE+U, the Materials Project), using Cu Kα X-rays.
Lines closer than 0.1° are merged.

Peak list (12 most intense, 10 to 90 degrees two-theta, in order of rising 2θ)
| (hkl) | Position (°2θ) | Rel. int. |
| --- | --- | --- |
| 0 1 1 | 18.02 | 97 |
| 1 0 1 | 18.13 | 20 |
| 2 1 1 | 34.95 | 20 |
| 0 1 3 | 35.30 | 16 |
| 0 2 2 | 36.51 | 17 |
| 2 0 2 | 36.74 | 16 |
| 2 2 0 | 42.28 | 100 |
| 0 0 4 | 43.08 | 48 |
| 0 4 0 | 61.00 | 13 |
| 4 0 0 | 61.65 | 14 |
| 2 2 4 | 61.94 | 53 |
| 4 0 4 | 78.16 | 12 |

Crystal structure
```
data_MgV2O4
_symmetry_space_group_name_H-M 'I m m a'
_symmetry_Int_Tables_number 74
_symmetry_space_group_name_Hall '-I 2b 2'
_cell_length_a 6.018
_cell_length_b 6.075
_cell_length_c 8.400
_cell_angle_alpha 90.00
_cell_angle_beta 90.00
_cell_angle_gamma 90.00
loop_
_atom_site_label
_atom_site_type_symbol
_atom_site_fract_x
_atom_site_fract_y
_atom_site_fract_z
Mg1 Mg 0.000 0.000 0.000
V1 V 0.000 0.000 0.500
V2 V 0.250 0.250 0.250
O1 O 0.000 0.031 0.256
O2 O 0.247 0.250 0.494
```


(2)
The following is a calculated powder diffraction line list of V2CuP2O14. It was derived from a DFT-relaxed cell (PBE+U, the Materials Project), using Cu Kα X-rays.
Lines closer than 0.1° are merged.

Peak list (12 most intense, 10 to 90 degrees two-theta, in order of rising 2θ)
| (hkl) | Position (°2θ) | Rel. int. |
| --- | --- | --- |
| 1 0 0 | 12.71 | 100 |
| 1 0 -1 | 14.28 | 26 |
| 0 2 0 | 19.87 | 24 |
| 1 1 1 | 20.77 | 71 |
| 1 1 -2 | 23.67 | 24 |
| 2 0 0 | 25.58 | 40 |
| 2 1 -1 | 27.09 | 24 |
| 0 2 2 | 28.78 | 77 |
| 1 2 -2 | 29.41 | 43 |
| 3 1 1 | 43.96 | 26 |
| 1 2 -4 | 45.72 | 21 |
| 1 4 -4 | 58.69 | 23 |

Crystal structure
```
data_V2CuP2O14
_symmetry_space_group_name_H-M 'P 1 21/m 1'
_symmetry_Int_Tables_number 11
_symmetry_space_group_name_Hall '-P 2yb'
_cell_length_a 7.179
_cell_length_b 8.936
_cell_length_c 8.884
_cell_angle_alpha 90.00
_cell_angle_beta 104.04
_cell_angle_gamma 90.00
loop_
_atom_site_label
_atom_site_type_symbol
_atom_site_fract_x
_atom_site_fract_y
_atom_site_fract_z
V1 V 0.082 0.250 0.014
V2 V 0.094 0.750 0.520
Cu1 Cu 0.477 0.750 0.370
P1 P 0.007 0.000 0.752
O1 O 0.124 0.100 0.174
O2 O 0.128 0.597 0.372
O3 O 0.139 0.099 0.876
O4 O 0.139 0.250 0.528
O5 O 0.139 0.599 0.678
O6 O 0.148 0.750 0.038
O7 O 0.411 0.750 0.547
O8 O 0.417 0.250 0.107
O9 O 0.495 0.593 0.259
```


(3)
The following is a calculated powder diffraction line list of Li2V5O10. It was derived from a DFT-relaxed cell (PBE+U, the Materials Project), using Cu Kα X-rays.
Lines closer than 0.1° are merged.

Peak list (12 most intense, 10 to 90 degrees two-theta, in order of rising 2θ)
| (hkl) | Position (°2θ) | Rel. int. |
| --- | --- | --- |
| 0 0 1 | 11.93 | 55 |
| 1 -1 0 | 17.96 | 100 |
| 0 2 0 | 22.56 | 17 |
| 1 1 -1 | 26.99 | 18 |
| 1 -1 2 | 27.65 | 18 |
| 2 0 0 | 30.15 | 13 |
| 2 2 1 | 35.87 | 14 |
| 0 2 3 | 37.96 | 42 |
| 3 1 1 | 44.49 | 29 |
| 1 -3 2 | 45.45 | 28 |
| -3 1 2 | 59.98 | 10 |
| 1 -1 5 | 62.37 | 8 |

Crystal structure
```
data_Li2V5O10
_symmetry_space_group_name_H-M 'P 1'
_symmetry_Int_Tables_number 1
_symmetry_space_group_name_Hall 'P 1'
_cell_length_a 6.400
_cell_length_b 8.128
_cell_length_c 8.230
_cell_angle_alpha 76.70
_cell_angle_beta 68.32
_cell_angle_gamma 89.35
loop_
_atom_site_label
_atom_site_type_symbol
_atom_site_fract_x
_atom_site_fract_y
_atom_site_fract_z
Li1 Li 0.000 0.000 0.000
Li2 Li 0.141 0.233 0.206
Li3 Li 0.493 0.508 0.007
Li4 Li 0.640 0.745 0.210
V1 V 0.055 0.588 0.292
V2 V 0.074 0.124 0.601
V3 V 0.090 0.653 0.921
V4 V 0.200 0.789 0.502
V5 V 0.447 0.949 0.708
V6 V 0.544 0.088 0.292
V7 V 0.562 0.621 0.608
V8 V 0.582 0.155 0.920
V9 V 0.696 0.294 0.496
V10 V 0.937 0.452 0.714
O1 O 0.016 0.359 0.472
O2 O 0.119 0.885 0.737
O3 O 0.144 0.480 0.102
O4 O 0.204 0.029 0.382
O5 O 0.226 0.567 0.670
O6 O 0.304 0.684 0.288
O7 O 0.336 0.058 0.925
O8 O 0.406 0.173 0.545
O9 O 0.430 0.710 0.830
O10 O 0.490 0.262 0.111
O11 O 0.531 0.856 0.469
O12 O 0.617 0.386 0.737
O13 O 0.658 0.988 0.096
O14 O 0.686 0.512 0.389
O15 O 0.736 0.082 0.666
O16 O 0.795 0.188 0.297
O17 O 0.838 0.558 0.914
O18 O 0.901 0.660 0.543
O19 O 0.948 0.232 0.819
O20 O 0.982 0.756 0.115
```


(4)
The following is a calculated powder diffraction line list of Li7NiOF7. It was derived from a DFT-relaxed cell (PBE+U, the Materials Project), using Cu Kα X-rays.
Lines closer than 0.1° are merged.

Peak list (12 most intense, 10 to 90 degrees two-theta, in order of rising 2θ)
| (hkl) | Position (°2θ) | Rel. int. |
| --- | --- | --- |
| 0 0 1 | 11.62 | 72 |
| 2 0 -1 | 13.97 | 45 |
| 2 0 0 | 17.84 | 29 |
| 2 0 -2 | 18.57 | 29 |
| 0 0 2 | 23.37 | 17 |
| 1 1 -2 | 36.20 | 16 |
| 2 0 2 | 37.66 | 16 |
| 1 1 -3 | 43.64 | 100 |
| 6 0 -2 | 44.01 | 50 |
| 0 2 0 | 63.43 | 26 |
| 7 1 -5 | 63.71 | 55 |
| 6 2 -2 | 80.41 | 22 |

Crystal structure
```
data_Li7NiOF7
_symmetry_space_group_name_H-M 'C 1 m 1'
_symmetry_Int_Tables_number 8
_symmetry_space_group_name_Hall 'C -2y'
_cell_length_a 12.687
_cell_length_b 2.932
_cell_length_c 9.715
_cell_angle_alpha 90.00
_cell_angle_beta 128.40
_cell_angle_gamma 90.00
loop_
_atom_site_label
_atom_site_type_symbol
_atom_site_fract_x
_atom_site_fract_y
_atom_site_fract_z
Li1 Li 0.000 0.000 0.000
Li2 Li 0.008 0.500 0.509
Li3 Li 0.121 0.000 0.377
Li4 Li 0.129 0.500 0.897
Li5 Li 0.250 0.500 0.252
Li6 Li 0.265 0.000 0.778
Li7 Li 0.379 0.000 0.135
Ni1 Ni 0.386 0.500 0.656
O1 O 0.441 0.000 0.822
F1 F 0.068 0.000 0.693
F2 F 0.069 0.500 0.205
F3 F 0.187 0.500 0.567
F4 F 0.198 0.000 0.083
F5 F 0.313 0.500 0.953
F6 F 0.317 0.000 0.451
F7 F 0.441 0.500 0.325
```